Structure and simulated PXRD pattern of MgCu2GeS4 (a PBE-relaxed structure; Cu Ka).
No peak broadening, texture or thermal motion is included.

Crystal structure
```
MgCu2GeS4
1.0
-2.6635 2.9543 5.2671
2.6635 -2.9543 5.2671
2.6635 2.9543 -5.2671
Mg Cu Ge S
1 2 1 4
Cartesian
0.0000 0.0000 0.0000
0.0000 0.0000 2.6775
0.0000 0.0000 7.8568
0.0000 2.9543 0.0000
1.4080 -1.3560 3.9308
1.2554 1.5983 1.3364
1.2554 4.3103 -1.3364
1.4080 1.3560 6.6035
```

Principal peaks in the range 10° ≤ 2θ ≤ 90°, by angle:
- 2θ 17.21, I = 132
- 2θ 18.67, I = 296
- 2θ 22.47, I = 128
- 2θ 28.21, I = 1000
- 2θ 45.87, I = 311
- 2θ 46.18, I = 307
- 2θ 48.62, I = 264
- 2θ 52.49, I = 154

Structure and simulated PXRD pattern of MgCu2GeS4 (a PBE-relaxed structure; Cu Ka).
No peak broadening, texture or thermal motion is included.

Crystal structure
```
MgCu2GeS4
1.0
7.6631 0.0000 0.0000
0.0000 6.5462 0.0000
0.0000 0.0000 6.2723
Mg Cu Ge S
2 4 2 8
Cartesian
0.0000 1.0487 0.0000
3.8316 5.4975 3.1362
1.9051 2.1239 3.1829
1.9264 4.4223 0.0468
5.7367 4.4223 0.0468
5.7580 2.1239 3.1829
0.0000 5.3971 3.1448
3.8316 1.1491 0.0086
0.0000 1.0146 2.4718
0.0000 5.3007 5.4131
1.8128 4.2970 2.3434
2.0188 2.2492 5.4795
3.8316 1.2455 2.2769
3.8316 5.5316 5.6079
5.6443 2.2492 5.4795
5.8503 4.2970 2.3434
```

Principal peaks in the range 10° ≤ 2θ ≤ 90°, by angle:
- 2θ 26.96, I = 900
- 2θ 27.25, I = 554
- 2θ 28.46, I = 880
- 2θ 30.56, I = 1000
- 2θ 30.81, I = 397
- 2θ 47.98, I = 723
- 2θ 51.73, I = 796
- 2θ 56.73, I = 440

Structure and simulated PXRD pattern of Mn10CuGe5 (a PBE-relaxed structure; Cu Ka).
No peak broadening, texture or thermal motion is included.

Crystal structure
```
Mn10CuGe5
1.0
-4.6944 4.6944 2.4094
4.6944 -4.6944 2.4094
4.6944 4.6944 -2.4094
Mn Cu Ge
10 1 5
Cartesian
4.6944 0.0000 0.0000
3.9600 2.5797 -1.1942
2.1148 -0.7344 1.2152
2.5797 5.4288 -1.1942
0.7344 2.1148 1.2152
0.0000 4.6944 0.0000
5.4288 2.5797 1.1942
2.5797 3.9600 1.1942
2.1148 0.7344 3.6036
-0.7344 2.1148 3.6036
0.0000 0.0000 0.0000
6.2150 -1.5206 1.2047
3.1739 1.5206 1.2047
0.0000 0.0000 2.4094
-1.5206 3.1739 1.2047
1.5206 6.2150 1.2047
```

Principal peaks in the range 10° ≤ 2θ ≤ 90°, by angle:
- 2θ 37.32, I = 222
- 2θ 39.33, I = 418
- 2θ 42.16, I = 592
- 2θ 43.09, I = 648
- 2θ 43.98, I = 1000
- 2θ 46.58, I = 348
- 2θ 56.10, I = 249
- 2θ 71.94, I = 250

Structure and simulated PXRD pattern of Nd2Mn2CuGe3 (a PBE-relaxed structure; Cu Ka).
No peak broadening, texture or thermal motion is included.

Crystal structure
```
Nd2Mn2CuGe3
1.0
4.1026 0.0000 0.0000
0.0000 2.0906 9.3155
0.0000 -2.0906 9.3155
Nd Mn Cu Ge
2 2 1 3
Cartesian
0.0000 0.0000 0.0000
2.0513 0.0000 3.7297
0.0000 0.0000 6.4808
2.0513 0.0000 15.7654
0.0000 0.0000 14.3290
0.0000 0.0000 11.9291
2.0513 0.0000 7.8936
2.0513 0.0000 10.4884
```

Principal peaks in the range 10° ≤ 2θ ≤ 90°, by angle:
- 2θ 30.91, I = 281
- 2θ 32.18, I = 498
- 2θ 33.84, I = 1000
- 2θ 36.28, I = 229
- 2θ 43.28, I = 274
- 2θ 44.15, I = 259
- 2θ 44.75, I = 273
- 2θ 63.52, I = 219

Structure and simulated PXRD pattern of MnCu2GeTe4 (a PBE-relaxed structure; Cu Ka).
No peak broadening, texture or thermal motion is included.

Crystal structure
```
MnCu2GeTe4
1.0
-3.0563 3.0563 6.0106
3.0563 -3.0563 6.0106
3.0563 3.0563 -6.0106
Mn Cu Ge Te
1 2 1 4
Cartesian
0.0000 0.0000 0.0000
3.0563 0.0000 3.0053
0.0000 3.0563 3.0053
0.0000 0.0000 6.0106
1.5378 1.5378 -1.5990
4.5748 1.5378 1.5990
1.5185 1.5185 4.4116
-1.5185 1.5185 7.6097
```

Principal peaks in the range 10° ≤ 2θ ≤ 90°, by angle:
- 2θ 25.38, I = 1000
- 2θ 41.80, I = 241
- 2θ 42.17, I = 459
- 2θ 49.54, I = 315
- 2θ 50.19, I = 143
- 2θ 60.59, I = 78
- 2θ 67.31, I = 115
- 2θ 76.58, I = 150

Structure and simulated PXRD pattern of CuGeN2 (a PBE-relaxed structure; Cu Ka).
No peak broadening, texture or thermal motion is included.

Crystal structure
```
CuGeN2
1.0
1.4159 -2.6488 0.0000
1.4159 2.6488 0.0000
0.0000 0.0000 10.8035
Cu Ge N
2 2 4
Cartesian
0.0000 0.0000 0.0000
0.0000 0.0000 5.4018
1.4159 1.4521 8.1026
1.4159 -1.4521 2.7009
1.4159 0.1843 1.4805
1.4159 0.1843 3.9213
1.4159 -0.1843 6.8823
1.4159 -0.1843 9.3230
```

Principal peaks in the range 10° ≤ 2θ ≤ 90°, by angle:
- 2θ 33.17, I = 531
- 2θ 36.94, I = 555
- 2θ 37.83, I = 1000
- 2θ 39.76, I = 348
- 2θ 44.13, I = 406
- 2θ 49.72, I = 487
- 2θ 62.36, I = 256
- 2θ 64.54, I = 222

Structure and simulated PXRD pattern of CuGe2N3 (a PBE-relaxed structure; Cu Ka).
No peak broadening, texture or thermal motion is included.

Crystal structure
```
CuGe2N3
1.0
4.7904 -2.7682 0.0000
4.7904 2.7682 0.0000
0.0000 0.0000 5.2145
Cu Ge N
2 4 6
Cartesian
4.7904 1.8843 2.6073
4.7904 -1.8843 0.0000
3.2150 0.9194 5.1538
6.3658 0.9194 5.1538
3.2150 -0.9194 2.5466
6.3658 -0.9194 2.5466
3.0181 0.8308 1.8342
4.7904 1.6793 4.6275
3.0181 -0.8308 4.4415
6.5627 0.8308 1.8342
4.7904 -1.6793 2.0202
6.5627 -0.8308 4.4415
```

Principal peaks in the range 10° ≤ 2θ ≤ 90°, by angle:
- 2θ 32.36, I = 418
- 2θ 34.40, I = 343
- 2θ 36.77, I = 1000
- 2θ 47.94, I = 196
- 2θ 57.71, I = 277
- 2θ 63.17, I = 295
- 2θ 68.94, I = 249
- 2θ 70.41, I = 151

Structure and simulated PXRD pattern of CuGeN2 (a PBE-relaxed structure; Cu Ka).
No peak broadening, texture or thermal motion is included.

Crystal structure
```
CuGeN2
1.0
5.3656 0.0000 0.0000
0.0000 6.4389 0.0000
0.0000 0.0000 5.2733
Cu Ge N
4 4 8
Cartesian
0.4690 0.8288 0.0000
2.2138 4.0483 2.6367
3.1518 2.3907 0.0000
4.8966 5.6101 2.6367
0.4509 4.0178 5.2451
2.2319 0.7983 2.6084
3.1337 5.6406 5.2451
4.9147 2.4212 2.6084
0.3626 3.9334 1.8530
0.4442 0.8690 2.0248
2.2386 4.0885 4.6614
2.3202 0.7140 4.4897
3.0454 5.7250 1.8530
3.1270 2.3504 2.0248
4.9214 5.5699 4.6614
5.0030 2.5055 4.4897
```

Principal peaks in the range 10° ≤ 2θ ≤ 90°, by angle:
- 2θ 32.43, I = 441
- 2θ 34.00, I = 548
- 2θ 36.75, I = 1000
- 2θ 37.62, I = 505
- 2θ 47.70, I = 215
- 2θ 59.09, I = 270
- 2θ 62.66, I = 312
- 2θ 69.95, I = 243

Structure and simulated PXRD pattern of Na2Cu3Ge4O12 (a PBE-relaxed structure; Cu Ka).
No peak broadening, texture or thermal motion is included.

Crystal structure
```
Na2Cu3Ge4O12
1.0
5.5559 0.0000 0.0000
0.0923 6.5280 0.0000
1.6726 0.1980 7.5861
Na Cu Ge O
2 3 4 12
Cartesian
0.6624 1.6843 0.8088
6.6583 5.0417 6.7773
0.8363 0.0990 3.7931
3.9901 5.5293 5.1952
3.3306 1.1967 2.3909
2.5474 2.6881 5.1808
2.0014 5.1529 0.9808
5.3192 1.5731 6.6054
4.7733 4.0379 2.4053
0.7164 3.9630 1.3855
1.8512 6.5492 2.0811
2.3797 1.2906 4.1059
2.6456 4.3128 4.5559
3.2796 5.8965 6.9529
3.7636 2.4316 6.5029
3.5571 4.2943 1.0832
4.0411 0.8295 0.6332
4.6751 2.4131 3.0302
4.9409 5.4354 3.4802
5.4695 0.1768 5.5050
6.6043 2.7630 6.2006
```

Principal peaks in the range 10° ≤ 2θ ≤ 90°, by angle:
- 2θ 22.83, I = 1000
- 2θ 26.88, I = 262
- 2θ 29.48, I = 915
- 2θ 31.55, I = 470
- 2θ 31.89, I = 347
- 2θ 35.21, I = 519
- 2θ 40.07, I = 205
- 2θ 45.02, I = 173

Structure and simulated PXRD pattern of Nd3Cu4Ge4 (a PBE-relaxed structure; Cu Ka).
No peak broadening, texture or thermal motion is included.

Crystal structure
```
Nd3Cu4Ge4
1.0
-2.1636 3.3725 7.1679
2.1636 -3.3725 7.1679
2.1636 3.3725 -7.1679
Nd Cu Ge
3 4 4
Cartesian
0.0000 0.0000 0.0000
2.1636 0.0000 5.2715
0.0000 3.3725 1.8964
2.1636 1.2543 -2.3858
2.1636 1.2543 2.3858
0.0000 2.1182 4.7821
0.0000 2.1182 9.5537
0.0000 0.0000 3.0993
2.1636 2.0989 0.0000
0.0000 1.2736 7.1679
0.0000 0.0000 11.2365
```

Principal peaks in the range 10° ≤ 2θ ≤ 90°, by angle:
- 2θ 33.98, I = 243
- 2θ 34.29, I = 866
- 2θ 35.13, I = 1000
- 2θ 37.65, I = 214
- 2θ 41.75, I = 386
- 2θ 44.54, I = 290
- 2θ 62.68, I = 203
- 2θ 79.00, I = 143

Structure and simulated PXRD pattern of Nd2CuGe6 (a PBE-relaxed structure; Cu Ka).
No peak broadening, texture or thermal motion is included.

Crystal structure
```
Nd2CuGe6
1.0
4.1639 0.0000 0.0000
0.0000 2.0569 10.9660
0.0000 -2.0569 10.9660
Nd Cu Ge
2 1 6
Cartesian
0.0000 0.0000 0.0000
0.0000 0.0000 7.3058
2.0820 0.0000 12.1994
0.0000 0.0000 13.4669
0.0000 0.0000 15.9514
2.0820 0.0000 2.5146
2.0820 0.0000 5.0141
2.0820 0.0000 9.8319
2.0820 0.0000 19.2820
```

Principal peaks in the range 10° ≤ 2θ ≤ 90°, by angle:
- 2θ 32.62, I = 353
- 2θ 32.97, I = 1000
- 2θ 36.92, I = 175
- 2θ 43.15, I = 183
- 2θ 43.47, I = 240
- 2θ 44.02, I = 232
- 2θ 55.84, I = 198
- 2θ 63.59, I = 163